[1]
NaPa2MnN5: simulated X-ray powder pattern (a wavelength of 1.5418 Å), based on a structure optimized by DFT (GGA-PBE).

Top 10 peaks for 2θ from 15° to 90°, most intense first:
16.2°, intensity 100
31.2°, intensity 92
31.5°, intensity 79
39.1°, intensity 75
57.8°, intensity 35
32.7°, intensity 32
51.9°, intensity 31
63.0°, intensity 29
26.8°, intensity 20
46.3°, intensity 19

Structural model:
Lattice parameters (Å, degrees): 7.2163 7.2163 7.2163 125.14 125.14 81.31
Positions (direct):
Na1 0.2500 0.2500 0.0000
Na2 0.7500 0.7500 0.0000
Pa1 0.1833 0.6833 0.8666
Pa2 0.3167 0.1833 0.5000
Pa3 0.6833 0.8167 0.5000
Pa4 0.8167 0.3167 0.1334
Mn1 0.2500 0.7500 0.5000
Mn2 0.7500 0.2500 0.5000
N1 0.0000 0.0000 0.0000
N2 0.0037 0.2318 0.5000
N3 0.2318 0.7318 0.2281
N4 0.2682 0.4963 0.5000
N5 0.4963 0.9963 0.2281
N6 0.5000 0.5000 0.0000
N7 0.5037 0.0037 0.7719
N8 0.7318 0.5037 0.5000
N9 0.7682 0.2682 0.7719
N10 0.9963 0.7682 0.5000


[2]
Mn5Nb7N2: simulated X-ray powder pattern (a wavelength of 1.5418 Å), based on a structure optimized by DFT (GGA-PBE).

Top 10 peaks for 2θ from 15° to 90°, most intense first:
40.5°, intensity 100
40.6°, intensity 59
38.0°, intensity 39
44.3°, intensity 34
38.2°, intensity 30
68.8°, intensity 22
33.8°, intensity 17
68.8°, intensity 17
33.7°, intensity 16
69.1°, intensity 13

Structural model:
Lattice parameters (Å, degrees): 8.1838 8.1838 8.1838 120.35 119.79 89.88
Positions (direct):
Mn1 0.0000 0.0000 0.0000
Mn2 0.2825 0.1987 0.0838
Mn3 0.2918 0.1922 0.4004
Mn4 0.2918 0.8914 0.0996
Mn5 0.3851 0.8013 0.5838
Mn6 0.5000 0.0000 0.5000
Mn7 0.6149 0.1987 0.4162
Mn8 0.7082 0.1086 0.9004
Mn9 0.7082 0.8078 0.5996
Mn10 0.7175 0.8013 0.9162
Nb1 0.0634 0.4291 0.2458
Nb2 0.0634 0.8177 0.6343
Nb3 0.0717 0.8217 0.2500
Nb4 0.3120 0.5620 0.7500
Nb5 0.3167 0.1823 0.7458
Nb6 0.3167 0.5709 0.1343
Nb7 0.5000 0.0000 0.0000
Nb8 0.5000 0.5000 0.5000
Nb9 0.6833 0.4291 0.8657
Nb10 0.6833 0.8177 0.2542
Nb11 0.6880 0.4380 0.2500
Nb12 0.9283 0.1783 0.7500
Nb13 0.9366 0.1823 0.3657
Nb14 0.9366 0.5709 0.7542
N1 0.0000 0.0000 0.5000
N2 0.0000 0.5000 0.0000
N3 0.0000 0.5000 0.5000
N4 0.5000 0.5000 0.0000


[3]
Mn2Nb3N: simulated X-ray powder pattern (a wavelength of 1.5418 Å), based on a structure optimized by DFT (GGA-PBE).

Top 10 peaks for 2θ from 15° to 90°, most intense first:
38.8°, intensity 100
41.0°, intensity 59
43.1°, intensity 21
68.8°, intensity 21
73.2°, intensity 21
59.4°, intensity 9
28.7°, intensity 9
56.1°, intensity 8
81.9°, intensity 8
86.1°, intensity 7

Structural model:
Lattice parameters (Å, degrees): 6.9606 6.9606 6.9606 90.00 90.00 90.00
Positions (direct):
Mn1 0.0752 0.0752 0.0752
Mn2 0.1748 0.8252 0.3252
Mn3 0.3252 0.1748 0.8252
Mn4 0.4248 0.9248 0.5752
Mn5 0.5752 0.4248 0.9248
Mn6 0.6748 0.6748 0.6748
Mn7 0.8252 0.3252 0.1748
Mn8 0.9248 0.5752 0.4248
Nb1 0.0451 0.8750 0.7049
Nb2 0.1250 0.2049 0.4549
Nb3 0.2049 0.4549 0.1250
Nb4 0.2951 0.5451 0.6250
Nb5 0.3750 0.7951 0.9549
Nb6 0.4549 0.1250 0.2049
Nb7 0.5451 0.6250 0.2951
Nb8 0.6250 0.2951 0.5451
Nb9 0.7049 0.0451 0.8750
Nb10 0.7951 0.9549 0.3750
Nb11 0.8750 0.7049 0.0451
Nb12 0.9549 0.3750 0.7951
N1 0.1250 0.6250 0.8750
N2 0.3750 0.3750 0.3750
N3 0.6250 0.8750 0.1250
N4 0.8750 0.1250 0.6250


[4]
Np2MnNbN5: simulated X-ray powder pattern (a wavelength of 1.5418 Å), based on a structure optimized by DFT (GGA-PBE).

Top 10 peaks for 2θ from 15° to 90°, most intense first:
30.1°, intensity 100
39.8°, intensity 93
35.3°, intensity 52
34.2°, intensity 47
33.1°, intensity 43
29.1°, intensity 42
29.2°, intensity 30
17.6°, intensity 29
58.3°, intensity 28
27.8°, intensity 28

Structural model:
Lattice parameters (Å, degrees): 6.6027 6.6027 10.0601 90.00 90.00 152.26
Positions (direct):
Np1 0.1029 0.8971 0.5000
Np2 0.1470 0.8530 0.1213
Np3 0.8530 0.1470 0.6213
Np4 0.8971 0.1029 0.0000
Mn1 0.4727 0.5273 0.2717
Mn2 0.5273 0.4727 0.7717
Nb1 0.2026 0.7974 0.8241
Nb2 0.7974 0.2026 0.3241
N1 0.0476 0.9524 0.8809
N2 0.2811 0.7189 0.4756
N3 0.3250 0.6750 0.1796
N4 0.3711 0.6289 0.8135
N5 0.4849 0.5151 0.5938
N6 0.5151 0.4849 0.0938
N7 0.6289 0.3711 0.3135
N8 0.6750 0.3250 0.6796
N9 0.7189 0.2811 0.9756
N10 0.9524 0.0476 0.3809